# Li2MnCrO4
Theoretical powder X-ray diffraction pattern, copper Kα. Input: DFT lattice parameters and positions (PBE+U).

Most intense lines, 10° ≤ 2θ ≤ 90°, sorted by position:
2θ/deg  I/Imax
18.16  98
18.30  95
34.06  23
35.80  24
35.95  26
36.79  17
37.09  15
40.98  61
43.86  100
61.59  30
61.98  15
63.77  28

Structural model:
```
Li2MnCrO4
1.0
4.130 -4.127 0.000
4.130 4.127 0.000
-4.076 0.000 4.404
Li Mn Cr O
4 2 2 8
direct
0.000 0.000 0.000
0.000 0.000 0.500
0.000 0.500 0.000
0.500 0.000 0.500
0.000 0.500 0.500
0.500 0.000 0.000
0.500 0.500 0.000
0.500 0.500 0.500
0.235 0.724 0.486
0.261 0.281 0.533
0.276 0.765 0.014
0.281 0.261 0.033
0.719 0.739 0.967
0.724 0.235 0.986
0.739 0.719 0.467
0.765 0.276 0.514
```